Entry 1:
For MgV4Cu3O12, a DFT-relaxed cell (GGA+U, Alexandria) gives the calculated X-ray diffraction stick pattern in this record (Cu Ka).
No peak broadening, texture or thermal motion is included.

Structure:
Cell lengths 6.3851, 6.3851, 6.3851 Å; angles 109.61, 109.61, 109.61 degrees
Atoms (fractional coordinates):
Mg: 0.0000 0.0000 0.0000
V: 0.0000 0.0000 0.5000
V: 0.0000 0.5000 0.0000
V: 0.5000 0.0000 0.0000
V: 0.5000 0.5000 0.5000
Cu: 0.0000 0.5000 0.5000
Cu: 0.5000 0.0000 0.5000
Cu: 0.5000 0.5000 0.0000
O: 0.1198 0.8142 0.2919
O: 0.1815 0.3030 0.4773
O: 0.1858 0.7081 0.8802
O: 0.2919 0.1198 0.8142
O: 0.3030 0.4773 0.1815
O: 0.4773 0.1815 0.3030
O: 0.5227 0.8185 0.6970
O: 0.6970 0.5227 0.8185
O: 0.7081 0.8802 0.1858
O: 0.8142 0.2919 0.1198
O: 0.8185 0.6970 0.5227
O: 0.8802 0.1858 0.7081

Principal peaks in the range 10° ≤ 2θ ≤ 80°, sorted by position:
2θ = 17.04°, intensity 145
2θ = 29.69°, intensity 134
2θ = 34.37°, intensity 1000
2θ = 34.56°, intensity 945
2θ = 49.54°, intensity 587
2θ = 61.57°, intensity 242
2θ = 61.69°, intensity 486
2θ = 62.04°, intensity 239
2θ = 72.45°, intensity 123
2θ = 72.89°, intensity 131



Entry 2:
For Mg6VCuO8, a DFT-relaxed cell (GGA+U, Alexandria) gives the calculated X-ray diffraction stick pattern in this record (Cu Ka).
No peak broadening, texture or thermal motion is included.

Structure:
Cell lengths 4.2323, 4.2323, 8.7779 Å; angles 90.00, 90.00, 90.00 degrees
Atoms (fractional coordinates):
Mg: 0.0000 0.0000 0.0000
Mg: 0.0000 0.0000 0.5000
Mg: 0.0000 0.5000 0.2427
Mg: 0.0000 0.5000 0.7573
Mg: 0.5000 0.0000 0.2427
Mg: 0.5000 0.0000 0.7573
V: 0.5000 0.5000 0.5000
Cu: 0.5000 0.5000 0.0000
O: 0.0000 0.0000 0.2496
O: 0.0000 0.0000 0.7504
O: 0.0000 0.5000 0.0000
O: 0.0000 0.5000 0.5000
O: 0.5000 0.0000 0.0000
O: 0.5000 0.0000 0.5000
O: 0.5000 0.5000 0.2653
O: 0.5000 0.5000 0.7347

Principal peaks in the range 10° ≤ 2θ ≤ 80°, sorted by position:
2θ = 20.23°, intensity 108
2θ = 20.99°, intensity 192
2θ = 29.32°, intensity 171
2θ = 36.33°, intensity 405
2θ = 41.13°, intensity 553
2θ = 42.73°, intensity 1000
2θ = 60.81°, intensity 592
2θ = 62.02°, intensity 282
2θ = 74.06°, intensity 130
2θ = 77.16°, intensity 263



Entry 3:
For Mg2V2CuO8, a DFT-relaxed cell (GGA+U, Alexandria) gives the calculated X-ray diffraction stick pattern in this record (Cu Ka).
No peak broadening, texture or thermal motion is included.

Structure:
Cell lengths 6.4674, 8.2324, 6.2804 Å; angles 90.00, 115.60, 90.00 degrees
Atoms (fractional coordinates):
Mg: 0.2280 0.2491 0.1149
Mg: 0.2280 0.2509 0.6149
Mg: 0.7720 0.7491 0.3851
Mg: 0.7720 0.7509 0.8851
V: 0.2580 0.6248 0.3605
V: 0.2580 0.8752 0.8605
V: 0.7420 0.1248 0.1395
V: 0.7420 0.3752 0.6395
Cu: 0.5000 0.0000 0.5000
Cu: 0.5000 0.5000 0.0000
O: 0.0020 0.2287 0.2614
O: 0.0020 0.2713 0.7614
O: 0.2536 0.5012 0.5736
O: 0.2536 0.9988 0.0736
O: 0.2762 0.5012 0.1409
O: 0.2762 0.9988 0.6409
O: 0.4940 0.2380 0.4985
O: 0.4940 0.2620 0.9985
O: 0.5060 0.7380 0.0015
O: 0.5060 0.7620 0.5015
O: 0.7238 0.0012 0.3591
O: 0.7238 0.4988 0.8591
O: 0.7464 0.0012 0.9264
O: 0.7464 0.4988 0.4264
O: 0.9980 0.7287 0.2386
O: 0.9980 0.7713 0.7386

Principal peaks in the range 10° ≤ 2θ ≤ 80°, sorted by position:
2θ = 15.19°, intensity 455
2θ = 26.77°, intensity 340
2θ = 28.44°, intensity 1000
2θ = 29.79°, intensity 435
2θ = 33.46°, intensity 321
2θ = 35.03°, intensity 310
2θ = 36.18°, intensity 305
2θ = 43.61°, intensity 307
2θ = 61.70°, intensity 370
2θ = 63.69°, intensity 316



Entry 4:
For MgV4Cu3O14, a DFT-relaxed cell (GGA+U, Alexandria) gives the calculated X-ray diffraction stick pattern in this record (Cu Ka).
No peak broadening, texture or thermal motion is included.

Structure:
Cell lengths 5.6346, 5.6954, 10.2674 Å; angles 103.83, 103.30, 91.79 degrees
Atoms (fractional coordinates):
Mg: 0.0000 0.0000 0.0000
V: 0.0348 0.7242 0.2628
V: 0.1389 0.7319 0.6899
V: 0.5778 0.2771 0.1864
V: 0.5788 0.1828 0.7626
Cu: 0.2017 0.5036 0.9635
Cu: 0.3552 0.3567 0.4650
Cu: 0.8179 0.1048 0.4892
O: 0.0384 0.0066 0.3721
O: 0.0663 0.7232 0.8486
O: 0.1186 0.7494 0.1109
O: 0.1261 0.4486 0.5785
O: 0.2263 0.5504 0.3430
O: 0.2850 0.2634 0.0765
O: 0.3978 0.3716 0.8398
O: 0.4466 0.8739 0.7300
O: 0.5745 0.2149 0.3476
O: 0.5935 0.2439 0.6011
O: 0.7269 0.5743 0.2169
O: 0.7381 0.0735 0.1050
O: 0.8610 0.2118 0.8726
O: 0.9446 0.9065 0.6116

Principal peaks in the range 10° ≤ 2θ ≤ 80°, sorted by position:
2θ = 16.09°, intensity 167
2θ = 20.51°, intensity 124
2θ = 23.71°, intensity 111
2θ = 23.97°, intensity 1000
2θ = 27.47°, intensity 144
2θ = 28.33°, intensity 269
2θ = 28.51°, intensity 265
2θ = 28.62°, intensity 311
2θ = 28.75°, intensity 310
2θ = 41.79°, intensity 108